No. 1
The following is a simulated PXRD pattern of InBr2O. It was derived from a structure optimized by DFT (PBE), using Cu Ka.
Neutral-atom scattering factors, no anomalous dispersion.

Top 10 peaks for 2θ = 15–90°, most intense first:
2theta	I_rel
24.24	100
23.64	93
34.56	85
33.41	63
24.35	41
19.28	35
42.27	30
46.87	25
49.49	25
27.57	23

Crystal structure
Cell lengths 3.956, 6.665, 9.356 Å; angles 85.18, 80.11, 74.37 degrees
Sites, in units of the cell vectors:
In 0.150 0.199 0.023
In 0.850 0.801 0.977
Br 0.003 0.870 0.423
Br 0.096 0.469 0.795
Br 0.904 0.531 0.205
Br 0.997 0.130 0.577
O 0.329 0.889 0.932
O 0.671 0.111 0.068

=====

No. 2
The following is a simulated PXRD pattern of ZrIn5. It was derived from a structure optimized by DFT (PBE), using Cu Ka.
Neutral-atom scattering factors, no anomalous dispersion.

Top 10 peaks for 2θ = 15–90°, most intense first:
2theta	I_rel
34.96	100
33.10	29
34.61	26
60.33	20
48.64	19
62.25	18
73.86	11
62.94	9
63.87	8
81.89	8

Crystal structure
Cell lengths 5.413, 15.552, 3.525 Å; angles 90.00, 90.00, 90.00 degrees
Sites, in units of the cell vectors:
Zr 0.000 0.000 0.000
Zr 0.500 0.500 0.000
In 0.000 0.166 0.500
In 0.000 0.337 0.000
In 0.000 0.500 0.500
In 0.000 0.663 0.000
In 0.000 0.834 0.500
In 0.500 0.000 0.500
In 0.500 0.163 0.000
In 0.500 0.334 0.500
In 0.500 0.666 0.500
In 0.500 0.837 0.000

=====

No. 3
The following is a simulated PXRD pattern of La4Sm4Tm. It was derived from a structure optimized by DFT (PBE), using Cu Ka.
Neutral-atom scattering factors, no anomalous dispersion.

Top 10 peaks for 2θ = 15–90°, most intense first:
2theta	I_rel
29.88	100
34.72	34
59.28	29
49.75	24
34.49	17
58.97	15
62.09	12
49.92	12
80.83	12
81.10	6

Crystal structure
Cell lengths 8.176, 8.176, 8.176 Å; angles 95.81, 95.81, 142.90 degrees
Sites, in units of the cell vectors:
La 0.166 0.166 0.333
La 0.166 0.834 0.000
La 0.834 0.166 0.000
La 0.834 0.834 0.667
Sm 0.166 0.500 0.666
Sm 0.500 0.166 0.666
Sm 0.500 0.834 0.334
Sm 0.834 0.500 0.334
Tm 0.500 0.500 0.000

=====

No. 4
The following is a simulated PXRD pattern of Ti4ReRh3. It was derived from a structure optimized by DFT (PBE), using Cu Ka.
Neutral-atom scattering factors, no anomalous dispersion.

Top 10 peaks for 2θ = 15–90°, most intense first:
2theta	I_rel
41.29	100
40.60	52
74.34	33
28.40	27
58.77	17
75.74	15
29.34	15
50.87	12
89.68	11
60.85	9

Crystal structure
Cell lengths 3.142, 3.142, 12.179 Å; angles 90.00, 90.00, 90.00 degrees
Sites, in units of the cell vectors:
Ti 0.000 0.000 0.122
Ti 0.000 0.000 0.375
Ti 0.000 0.000 0.625
Ti 0.000 0.000 0.878
Re 0.500 0.500 0.000
Rh 0.500 0.500 0.254
Rh 0.500 0.500 0.500
Rh 0.500 0.500 0.746

=====

No. 5
The following is a simulated PXRD pattern of Cs3Nd2Cl9. It was derived from a structure optimized by DFT (PBE), using Cu Ka.
Neutral-atom scattering factors, no anomalous dispersion.

Top 10 peaks for 2θ = 15–90°, most intense first:
2theta	I_rel
29.77	100
22.54	87
19.20	43
38.97	40
46.01	36
31.37	27
20.30	21
39.57	20
51.20	20
45.49	19

Crystal structure
Cell lengths 10.082, 10.082, 10.082 Å; angles 85.34, 85.34, 85.34 degrees
Sites, in units of the cell vectors:
Cs 0.084 0.750 0.416
Cs 0.250 0.584 0.916
Cs 0.416 0.084 0.750
Cs 0.584 0.916 0.250
Cs 0.750 0.416 0.084
Cs 0.916 0.250 0.584
Nd 0.145 0.145 0.145
Nd 0.355 0.355 0.355
Nd 0.645 0.645 0.645
Nd 0.855 0.855 0.855
Cl 0.075 0.269 0.915
Cl 0.085 0.925 0.731
Cl 0.099 0.401 0.250
Cl 0.231 0.425 0.585
Cl 0.250 0.099 0.401
Cl 0.269 0.915 0.075
Cl 0.401 0.250 0.099
Cl 0.415 0.769 0.575
Cl 0.425 0.585 0.231
Cl 0.575 0.415 0.769
Cl 0.585 0.231 0.425
Cl 0.599 0.750 0.901
Cl 0.731 0.085 0.925
Cl 0.750 0.901 0.599
Cl 0.769 0.575 0.415
Cl 0.901 0.599 0.750
Cl 0.915 0.075 0.269
Cl 0.925 0.731 0.085

=====

No. 6
The following is a simulated PXRD pattern of Al3Cu4. It was derived from a structure optimized by DFT (PBE), using Cu Ka.
Neutral-atom scattering factors, no anomalous dispersion.

Top 10 peaks for 2θ = 15–90°, most intense first:
2theta	I_rel
43.09	100
43.20	100
79.05	43
30.14	36
62.66	30
79.30	14
53.48	6
71.02	5
71.17	5
15.96	2

Crystal structure
Cell lengths 6.637, 6.637, 6.637 Å; angles 113.62, 113.62, 113.62 degrees
Sites, in units of the cell vectors:
Al 0.053 0.771 0.634
Al 0.229 0.366 0.947
Al 0.366 0.947 0.229
Al 0.634 0.053 0.771
Al 0.771 0.634 0.053
Al 0.947 0.229 0.366
Cu 0.000 0.000 0.000
Cu 0.127 0.567 0.272
Cu 0.272 0.127 0.567
Cu 0.433 0.728 0.873
Cu 0.500 0.500 0.500
Cu 0.567 0.272 0.127
Cu 0.728 0.873 0.433
Cu 0.873 0.433 0.728